Record 1
Calculated X-ray diffraction stick pattern of PuI4O12 for CuKα, from a structure optimized by DFT (GGA-PBE).

Atomic structure:
a b c (Å): 10.1913 10.1913 5.3829
angles (deg): 90.00 90.00 90.00
Space group P4_2/n (No. 86, origin choice 2)
Unique sites:
Pu: 0.2500 0.2500 0.2500 x2
I: 0.0203 0.7490 0.2197 x8
O: 0.0599 0.3268 0.0525 x8
O: 0.0997 0.3218 0.5556 x8
O: 0.1304 0.8494 0.7574 x8

Largest 8 diffraction maxima, by intensity, 15° ≤ 2θ ≤ 90°:
2theta	I/Imax	h k l
25.61	100.0	2 1 1
35.88	26.2	2 3 1
51.16	24.9	5 2 1
17.40	17.2	2 0 0
35.23	16.1	4 0 0
49.25	14.6	4 0 2
27.68	12.8	1 3 0
43.82	12.3	3 1 2

Record 2
Calculated X-ray diffraction stick pattern of Cd5Rh3 for CuKα, from a structure optimized by DFT (GGA-PBE).

Atomic structure:
a b c (Å): 6.2931 7.0965 12.6839
angles (deg): 90.00 90.00 90.00
Space group Fmmm (No. 69)
Unique sites:
Cd: 0.0000 0.0000 0.0000 x4
Cd: 0.2500 0.2500 0.1310 x16
Rh: 0.0000 0.0000 0.2496 x8
Rh: 0.0000 0.0000 0.5000 x4

Largest 8 diffraction maxima, by intensity, 15° ≤ 2θ ≤ 90°:
2theta	I/Imax	h k l
38.06	100.0	0 2 4
38.23	99.9	2 2 0
40.38	84.4	2 0 4
67.41	35.1	2 4 4
72.11	28.7	4 2 4
71.78	28.1	2 2 8
51.51	20.6	0 4 0
58.68	14.5	4 0 0